# 1
Theoretical powder diffractogram of Ag3HgO3 for copper Kα, from a crystal structure in Alexandria, relaxed with GGA-PBE.
No peak broadening, texture or thermal motion is included.

The 6 most intense peaks (10 to 80 degrees two-theta), in order of rising 2θ:
Position (°2θ)  d (Å)  I/Imax
31.34  2.854  100.0
33.35  2.686  74.2
34.69  2.586  42.8
36.39  2.469  38.7
41.28  2.187  33.4
54.99  1.670  21.9

```
data_Ag3HgO3
_cell_length_a 7.5398
_cell_length_b 4.3743
_cell_length_c 7.6340
_cell_angle_alpha 90.00
_cell_angle_beta 116.90
_cell_angle_gamma 90.00
_symmetry_space_group_name_H-M 'P 1'
_symmetry_Int_Tables_number 1
loop_
_symmetry_equiv_pos_as_xyz
'x,y,z'
loop_
_atom_site_label
_atom_site_type_symbol
_atom_site_fract_x
_atom_site_fract_y
_atom_site_fract_z
Ag1 Ag 0.0594 0.2500 0.3971
Ag2 Ag 0.2222 0.7500 0.1220
Ag3 Ag 0.2829 0.2500 0.8252
Ag4 Ag 0.7171 0.7500 0.1748
Ag5 Ag 0.7778 0.2500 0.8780
Ag6 Ag 0.9406 0.7500 0.6029
Hg1 Hg 0.4504 0.7500 0.6342
Hg2 Hg 0.5496 0.2500 0.3658
O1 O 0.1775 0.7500 0.3837
O2 O 0.2570 0.2500 0.1418
O3 O 0.2690 0.7500 0.8643
O4 O 0.7310 0.2500 0.1357
O5 O 0.7430 0.7500 0.8582
O6 O 0.8225 0.2500 0.6163
```

***

# 2
Theoretical powder diffractogram of Dy4BiRh for copper Kα, from a crystal structure in Alexandria, relaxed with GGA-PBE.
No peak broadening, texture or thermal motion is included.

The 6 most intense peaks (10 to 80 degrees two-theta), in order of rising 2θ:
Position (°2θ)  d (Å)  I/Imax
30.77  2.906  100.0
31.33  2.855  54.0
31.96  2.800  45.2
33.80  2.652  49.3
33.93  2.642  75.0
45.22  2.005  41.3

```
data_Dy4BiRh
_cell_length_a 8.3377
_cell_length_b 4.0105
_cell_length_c 19.5552
_cell_angle_alpha 90.00
_cell_angle_beta 90.00
_cell_angle_gamma 90.00
_symmetry_space_group_name_H-M 'P 1'
_symmetry_Int_Tables_number 1
loop_
_symmetry_equiv_pos_as_xyz
'x,y,z'
loop_
_atom_site_label
_atom_site_type_symbol
_atom_site_fract_x
_atom_site_fract_y
_atom_site_fract_z
Dy1 Dy 0.0247 0.2500 0.0670
Dy2 Dy 0.0532 0.7500 0.2142
Dy3 Dy 0.1270 0.7500 0.6473
Dy4 Dy 0.1460 0.7500 0.4506
Dy5 Dy 0.3540 0.2500 0.9506
Dy6 Dy 0.3730 0.2500 0.1473
Dy7 Dy 0.4468 0.2500 0.7142
Dy8 Dy 0.4753 0.7500 0.5670
Dy9 Dy 0.5247 0.2500 0.4330
Dy10 Dy 0.5532 0.7500 0.2858
Dy11 Dy 0.6270 0.7500 0.8527
Dy12 Dy 0.6460 0.7500 0.0494
Dy13 Dy 0.8540 0.2500 0.5494
Dy14 Dy 0.8730 0.2500 0.3527
Dy15 Dy 0.9468 0.2500 0.7858
Dy16 Dy 0.9753 0.7500 0.9330
Bi1 Bi 0.2483 0.7500 0.8134
Bi2 Bi 0.2517 0.2500 0.3134
Bi3 Bi 0.7483 0.7500 0.6866
Bi4 Bi 0.7517 0.2500 0.1866
Rh1 Rh 0.2236 0.2500 0.5523
Rh2 Rh 0.2764 0.7500 0.0523
Rh3 Rh 0.7236 0.2500 0.9477
Rh4 Rh 0.7764 0.7500 0.4477
```

***

# 3
Theoretical powder diffractogram of LaTbGa2Rh2 for copper Kα, from a crystal structure in Alexandria, relaxed with GGA-PBE.
No peak broadening, texture or thermal motion is included.

The 6 most intense peaks (10 to 80 degrees two-theta), in order of rising 2θ:
Position (°2θ)  d (Å)  I/Imax
33.40  2.683  100.0
40.99  2.202  56.0
53.86  1.702  25.4
65.10  1.433  21.9
69.84  1.347  23.1
74.65  1.271  9.3

```
data_LaTbGa2Rh2
_cell_length_a 4.4042
_cell_length_b 4.4042
_cell_length_c 7.5476
_cell_angle_alpha 90.00
_cell_angle_beta 90.00
_cell_angle_gamma 120.00
_symmetry_space_group_name_H-M 'P 1'
_symmetry_Int_Tables_number 1
loop_
_symmetry_equiv_pos_as_xyz
'x,y,z'
loop_
_atom_site_label
_atom_site_type_symbol
_atom_site_fract_x
_atom_site_fract_y
_atom_site_fract_z
La1 La 0.0000 0.0000 0.0000
Tb1 Tb 0.0000 0.0000 0.5000
Ga1 Ga 0.3333 0.6667 0.2724
Ga2 Ga 0.6667 0.3333 0.7276
Rh1 Rh 0.3333 0.6667 0.7215
Rh2 Rh 0.6667 0.3333 0.2785
```

***

# 4
Theoretical powder diffractogram of La4Te3P for copper Kα, from a crystal structure in Alexandria, relaxed with GGA-PBE.
No peak broadening, texture or thermal motion is included.

The 6 most intense peaks (10 to 80 degrees two-theta), in order of rising 2θ:
Position (°2θ)  d (Å)  I/Imax
28.02  3.184  100.0
39.50  2.281  34.6
40.58  2.223  38.3
50.04  1.823  19.9
64.78  1.439  12.7
66.31  1.410  16.9

```
data_La4Te3P
_cell_length_a 15.3211
_cell_length_b 15.3211
_cell_length_c 15.3211
_cell_angle_alpha 16.69
_cell_angle_beta 16.69
_cell_angle_gamma 16.69
_symmetry_space_group_name_H-M 'P 1'
_symmetry_Int_Tables_number 1
loop_
_symmetry_equiv_pos_as_xyz
'x,y,z'
loop_
_atom_site_label
_atom_site_type_symbol
_atom_site_fract_x
_atom_site_fract_y
_atom_site_fract_z
La1 La 0.1243 0.1243 0.1243
La2 La 0.3677 0.3677 0.3677
La3 La 0.6323 0.6323 0.6323
La4 La 0.8757 0.8757 0.8757
Te1 Te 0.2529 0.2529 0.2529
Te2 Te 0.5000 0.5000 0.5000
Te3 Te 0.7471 0.7471 0.7471
P1 P 0.0000 0.0000 0.0000
```

***

# 5
Theoretical powder diffractogram of RbPaF6 for copper Kα, from a crystal structure in Alexandria, relaxed with GGA-PBE.
No peak broadening, texture or thermal motion is included.

The 6 most intense peaks (10 to 80 degrees two-theta), in order of rising 2θ:
Position (°2θ)  d (Å)  I/Imax
12.44  7.115  44.7
15.23  5.817  100.0
25.38  3.510  39.6
29.43  3.035  34.1
29.73  3.005  63.9
40.27  2.239  36.1

```
data_RbPaF6
_cell_length_a 7.0790
_cell_length_b 7.0790
_cell_length_c 7.1147
_cell_angle_alpha 90.00
_cell_angle_beta 90.00
_cell_angle_gamma 110.51
_symmetry_space_group_name_H-M 'P 1'
_symmetry_Int_Tables_number 1
loop_
_symmetry_equiv_pos_as_xyz
'x,y,z'
loop_
_atom_site_label
_atom_site_type_symbol
_atom_site_fract_x
_atom_site_fract_y
_atom_site_fract_z
Rb1 Rb 0.2500 0.7500 0.9957
Rb2 Rb 0.7500 0.2500 0.0043
Pa1 Pa 0.0000 0.5000 0.5000
Pa2 Pa 0.5000 0.0000 0.5000
F1 F 0.1011 0.3830 0.7404
F2 F 0.1170 0.3989 0.2596
F3 F 0.1480 0.8520 0.5115
F4 F 0.3520 0.6480 0.5115
F5 F 0.3830 0.1011 0.2596
F6 F 0.3989 0.1170 0.7404
F7 F 0.6011 0.8830 0.2596
F8 F 0.6170 0.8989 0.7404
F9 F 0.6480 0.3520 0.4885
F10 F 0.8520 0.1480 0.4885
F11 F 0.8830 0.6011 0.7404
F12 F 0.8989 0.6170 0.2596
```

***

# 6
Theoretical powder diffractogram of SnH2F4 for copper Kα, from a crystal structure in Alexandria, relaxed with GGA-PBE.
No peak broadening, texture or thermal motion is included.

The 6 most intense peaks (10 to 80 degrees two-theta), in order of rising 2θ:
Position (°2θ)  d (Å)  I/Imax
18.66  4.755  53.6
20.14  4.409  46.7
21.21  4.189  100.0
30.13  2.966  39.2
34.86  2.574  27.3
36.96  2.432  27.5

```
data_SnH2F4
_cell_length_a 6.0315
_cell_length_b 6.0315
_cell_length_c 6.9551
_cell_angle_alpha 97.01
_cell_angle_beta 97.01
_cell_angle_gamma 125.70
_symmetry_space_group_name_H-M 'P 1'
_symmetry_Int_Tables_number 1
loop_
_symmetry_equiv_pos_as_xyz
'x,y,z'
loop_
_atom_site_label
_atom_site_type_symbol
_atom_site_fract_x
_atom_site_fract_y
_atom_site_fract_z
Sn1 Sn 0.1294 0.8706 0.5000
Sn2 Sn 0.8706 0.1294 0.0000
H1 H 0.2865 0.8300 0.0875
H2 H 0.4682 0.4996 0.8367
H3 H 0.4996 0.4682 0.3367
H4 H 0.8300 0.2865 0.5875
F1 F 0.1566 0.7088 0.2117
F2 F 0.2612 0.3164 0.8263
F3 F 0.3164 0.2612 0.3263
F4 F 0.3894 0.9146 0.9722
F5 F 0.7088 0.1566 0.7117
F6 F 0.7128 0.7132 0.3400
F7 F 0.7132 0.7128 0.8400
F8 F 0.9146 0.3894 0.4722
```

***

# 7
Theoretical powder diffractogram of Np2Ni17 for copper Kα, from a crystal structure in Alexandria, relaxed with GGA-PBE.
No peak broadening, texture or thermal motion is included.

The 6 most intense peaks (10 to 80 degrees two-theta), in order of rising 2θ:
Position (°2θ)  d (Å)  I/Imax
31.09  2.877  52.8
37.78  2.381  46.8
43.90  2.062  57.6
44.22  2.048  100.0
45.15  2.008  43.7
64.80  1.439  25.5

```
data_Np2Ni17
_cell_length_a 6.2286
_cell_length_b 6.2286
_cell_length_c 6.2286
_cell_angle_alpha 82.93
_cell_angle_beta 82.93
_cell_angle_gamma 82.93
_symmetry_space_group_name_H-M 'P 1'
_symmetry_Int_Tables_number 1
loop_
_symmetry_equiv_pos_as_xyz
'x,y,z'
loop_
_atom_site_label
_atom_site_type_symbol
_atom_site_fract_x
_atom_site_fract_y
_atom_site_fract_z
Np1 Np 0.1630 0.1630 0.1630
Np2 Np 0.8370 0.8370 0.8370
Ni1 Ni 0.0000 0.5000 0.5000
Ni2 Ni 0.1515 0.1515 0.6552
Ni3 Ni 0.1515 0.6552 0.1515
Ni4 Ni 0.2013 0.5000 0.7987
Ni5 Ni 0.2013 0.7987 0.5000
Ni6 Ni 0.3448 0.8485 0.8485
Ni7 Ni 0.4003 0.4003 0.4003
Ni8 Ni 0.5000 0.0000 0.5000
Ni9 Ni 0.5000 0.2013 0.7987
Ni10 Ni 0.5000 0.5000 0.0000
Ni11 Ni 0.5000 0.7987 0.2013
Ni12 Ni 0.5997 0.5997 0.5997
Ni13 Ni 0.6552 0.1515 0.1515
Ni14 Ni 0.7987 0.2013 0.5000
Ni15 Ni 0.7987 0.5000 0.2013
Ni16 Ni 0.8485 0.3448 0.8485
Ni17 Ni 0.8485 0.8485 0.3448
```

***

# 8
Theoretical powder diffractogram of Li7CaMg3 for copper Kα, from a crystal structure in Alexandria, relaxed with GGA-PBE.
No peak broadening, texture or thermal motion is included.

The 6 most intense peaks (10 to 80 degrees two-theta), in order of rising 2θ:
Position (°2θ)  d (Å)  I/Imax
17.48  5.075  100.0
26.17  3.406  68.6
31.20  2.867  51.6
32.07  2.791  53.5
34.74  2.582  44.7
35.37  2.537  43.5

```
data_Li7CaMg3
_cell_length_a 6.5915
_cell_length_b 6.5915
_cell_length_c 5.8310
_cell_angle_alpha 92.21
_cell_angle_beta 92.21
_cell_angle_gamma 79.13
_symmetry_space_group_name_H-M 'P 1'
_symmetry_Int_Tables_number 1
loop_
_symmetry_equiv_pos_as_xyz
'x,y,z'
loop_
_atom_site_label
_atom_site_type_symbol
_atom_site_fract_x
_atom_site_fract_y
_atom_site_fract_z
Li1 Li 0.0000 0.0000 0.0000
Li2 Li 0.0816 0.4339 0.2663
Li3 Li 0.2653 0.2653 0.8261
Li4 Li 0.4339 0.0816 0.2663
Li5 Li 0.5661 0.9184 0.7337
Li6 Li 0.7347 0.7347 0.1739
Li7 Li 0.9184 0.5661 0.7337
Ca1 Ca 0.0000 0.0000 0.5000
Mg1 Mg 0.3183 0.6817 0.0000
Mg2 Mg 0.5000 0.5000 0.5000
Mg3 Mg 0.6817 0.3183 0.0000
```

***

# 9
Theoretical powder diffractogram of Tm2PuUAs4 for copper Kα, from a crystal structure in Alexandria, relaxed with GGA-PBE.
No peak broadening, texture or thermal motion is included.

The 6 most intense peaks (10 to 80 degrees two-theta), in order of rising 2θ:
Position (°2θ)  d (Å)  I/Imax
26.79  3.328  27.4
30.98  2.886  100.0
44.28  2.046  37.8
44.49  2.036  37.3
55.20  1.664  19.9
73.19  1.293  17.4

```
data_Tm2PuUAs4
_cell_length_a 7.0545
_cell_length_b 4.0721
_cell_length_c 7.1002
_cell_angle_alpha 90.00
_cell_angle_beta 109.40
_cell_angle_gamma 90.00
_symmetry_space_group_name_H-M 'P 1'
_symmetry_Int_Tables_number 1
loop_
_symmetry_equiv_pos_as_xyz
'x,y,z'
loop_
_atom_site_label
_atom_site_type_symbol
_atom_site_fract_x
_atom_site_fract_y
_atom_site_fract_z
Tm1 Tm 0.0000 0.0000 0.0000
Tm2 Tm 0.0000 0.5000 0.5000
Pu1 Pu 0.5000 0.0000 0.5000
U1 U 0.5000 0.5000 0.0000
As1 As 0.2479 0.0000 0.7524
As2 As 0.2486 0.5000 0.2461
As3 As 0.7514 0.5000 0.7539
As4 As 0.7521 0.0000 0.2476
```

***

# 10
Theoretical powder diffractogram of Sm2Er4TmMg for copper Kα, from a crystal structure in Alexandria, relaxed with GGA-PBE.
No peak broadening, texture or thermal motion is included.

The 6 most intense peaks (10 to 80 degrees two-theta), in order of rising 2θ:
Position (°2θ)  d (Å)  I/Imax
31.24  2.863  100.0
35.90  2.501  17.3
36.39  2.469  33.3
52.04  1.757  24.0
61.64  1.505  14.5
62.22  1.492  14.1

```
data_Sm2Er4TmMg
_cell_length_a 4.9449
_cell_length_b 4.9319
_cell_length_c 10.0052
_cell_angle_alpha 90.00
_cell_angle_beta 90.05
_cell_angle_gamma 90.00
_symmetry_space_group_name_H-M 'P 1'
_symmetry_Int_Tables_number 1
loop_
_symmetry_equiv_pos_as_xyz
'x,y,z'
loop_
_atom_site_label
_atom_site_type_symbol
_atom_site_fract_x
_atom_site_fract_y
_atom_site_fract_z
Sm1 Sm 0.0000 0.0000 0.0000
Sm2 Sm 0.5000 0.5000 0.5000
Er1 Er 0.9998 0.5000 0.2499
Er2 Er 0.0002 0.5000 0.7501
Er3 Er 0.4995 0.0000 0.2496
Er4 Er 0.5005 0.0000 0.7504
Tm1 Tm 0.5000 0.5000 0.0000
Mg1 Mg 0.0000 0.0000 0.5000
```